For NdBi3Ru4O14, a cell relaxed with GGA-PBE gives the theoretical X-ray diffraction stick pattern in this record (Cu Kα, 1.54184 Å).

Structural model:
Unit cell a=7.3300 b=7.3300 c=18.1471 alpha=90.00 beta=90.00 gamma=120.00
Space group R-3m (No. 166, hexagonal axes)
Unique sites:
Nd 0.0000 0.0000 0.0000 [3 per cell]
Bi 0.0000 0.5000 0.5000 [9 per cell]
Ru 0.0000 0.0000 0.5000 [3 per cell]
Ru 0.0000 0.5000 0.0000 [9 per cell]
O 0.0000 0.0000 0.1245 [6 per cell]
O 0.0626 0.5313 0.1095 [18 per cell]
O 0.0640 0.5320 0.3604 [18 per cell]

Principal peaks in the range 2θ = 5–70°, most intense first:
| hkl | Position (°2θ) | I/Imax |
| --- | --- | --- |
| 2 0 2 | 29.82 | 100 |
| 0 2 4 | 34.49 | 48 |
| 0 0 6 | 29.53 | 34 |
| 2 0 8 | 49.38 | 31 |
| 2 2 0 | 49.76 | 30 |
| 2 2 6 | 58.93 | 29 |

---

For Tb4Ni13C4, a cell relaxed with GGA-PBE gives the theoretical X-ray diffraction stick pattern in this record (Cu Kα, 1.54184 Å).

Structural model:
Unit cell a=11.7520 b=12.0191 c=3.8817 alpha=90.00 beta=90.00 gamma=90.00
Space group Cmmm (No. 65)
Unique sites:
Tb 0.0000 0.1866 0.0000 [4 per cell]
Tb 0.1514 0.5000 0.0000 [4 per cell]
Ni 0.0000 0.0000 0.5000 [2 per cell]
Ni 0.1075 0.3233 0.5000 [8 per cell]
Ni 0.1241 0.0000 0.0000 [4 per cell]
Ni 0.1833 0.1087 0.5000 [8 per cell]
Ni 0.2500 0.2500 0.0000 [4 per cell]
C 0.0000 0.4433 0.5000 [4 per cell]
C 0.2500 0.2500 0.5000 [4 per cell]

Principal peaks in the range 2θ = 5–70°, most intense first:
| hkl | Position (°2θ) | I/Imax |
| --- | --- | --- |
| 4 2 1 | 41.37 | 100 |
| 1 3 1 | 33.02 | 75 |
| 0 4 1 | 37.86 | 47 |
| 0 0 2 | 46.81 | 46 |
| 3 1 1 | 33.34 | 39 |
| 3 5 0 | 44.21 | 38 |

---

For PmNi2Sn, a cell relaxed with GGA-PBE gives the theoretical X-ray diffraction stick pattern in this record (Cu Kα, 1.54184 Å).

Structural model:
Unit cell a=6.5770 b=6.5770 c=6.5770 alpha=90.00 beta=90.00 gamma=90.00
Space group Fm-3m (No. 225)
Unique sites:
Pm 0.0000 0.0000 0.0000 [4 per cell]
Ni 0.2500 0.2500 0.2500 [8 per cell]
Sn 0.0000 0.0000 0.5000 [4 per cell]

Principal peaks in the range 2θ = 5–70°, most intense first:
| hkl | Position (°2θ) | I/Imax |
| --- | --- | --- |
| 2 2 0 | 38.72 | 100 |
| 4 0 0 | 55.92 | 17 |
| 2 0 0 | 27.12 | 15 |
| 4 2 0 | 63.23 | 7 |
| 2 2 2 | 47.91 | 5 |
| 1 1 1 | 23.43 | 1 |

---

For MgTi2P2O8F2, a cell relaxed with GGA-PBE gives the theoretical X-ray diffraction stick pattern in this record (Cu Kα, 1.54184 Å).

Structural model:
Unit cell a=5.3263 b=5.4712 c=7.5633 alpha=108.71 beta=108.02 gamma=96.04
Space group P1 (No. 1)
Unique sites:
Mg 0.0000 0.0000 0.0000 [1 per cell]
Ti 0.0281 0.6837 0.3009 [1 per cell]
Ti 0.5087 0.1926 0.7766 [1 per cell]
P 0.4378 0.7837 0.0289 [1 per cell]
P 0.6170 0.5876 0.5488 [1 per cell]
O 0.2711 0.8332 0.1697 [1 per cell]
O 0.3139 0.5172 0.4179 [1 per cell]
O 0.3365 0.9686 0.9136 [1 per cell]
O 0.3550 0.4892 0.8937 [1 per cell]
O 0.6866 0.3946 0.6567 [1 per cell]
O 0.7061 0.8743 0.7175 [1 per cell]
O 0.7520 0.8682 0.1349 [1 per cell]
O 0.7774 0.5739 0.4091 [1 per cell]
F 0.1988 0.0099 0.5327 [1 per cell]
F 0.8751 0.3305 0.0390 [1 per cell]

Principal peaks in the range 2θ = 5–70°, most intense first:
| hkl | Position (°2θ) | I/Imax |
| --- | --- | --- |
| 0 1 1 | 25.83 | 100 |
| 1 1 -2 | 28.19 | 78 |
| 1 0 -1 | 18.04 | 50 |
| 1 0 1 | 26.09 | 44 |
| 0 1 0 | 17.59 | 39 |
| 1 -2 1 | 36.14 | 24 |